(1)
Calculated X-ray diffraction stick pattern of UIrO3 for λ = 1.5418 Å (Cu Kα), from a structure optimized by DFT (GGA-PBE).
Intensities are scaled so that the largest is 100.

Structural model:
```
data_UIrO3
_chemical_formula_sum 'U1 Ir1 O3'
_space_group_name_H-M_alt 'P m -3 m'
_space_group_IT_number 221
_space_group_name_Hall '-P 4 2 3'
_cell_length_a 4.0093
_cell_length_b 4.0093
_cell_length_c 4.0093
_cell_angle_alpha 90.00
_cell_angle_beta 90.00
_cell_angle_gamma 90.00
loop_
_atom_site_label
_atom_site_fract_x
_atom_site_fract_y
_atom_site_fract_z
U1 0.0000 0.0000 0.0000
Ir1 0.5000 0.5000 0.5000
O1 0.0000 0.5000 0.5000
```

Principal peaks in the range 5° ≤ 2θ ≤ 70°, by intensity:
| d_spacing | 2θ (°) | intensity | h k l |
| --- | --- | --- | --- |
| 2.835 | 31.56 | 100 | 1 1 0 |
| 1.637 | 56.20 | 41 | 2 1 1 |
| 2.005 | 45.23 | 25 | 2 0 0 |
| 1.418 | 65.89 | 16 | 2 2 0 |
| 2.315 | 38.91 | 2 | 1 1 1 |



(2)
Calculated X-ray diffraction stick pattern of BaLiSi for λ = 1.5418 Å (Cu Kα), from a structure optimized by DFT (GGA-PBE).
Intensities are scaled so that the largest is 100.

Structural model:
```
data_BaLiSi
_chemical_formula_sum 'Ba1 Li1 Si1'
_space_group_name_H-M_alt 'P -6 m 2'
_space_group_IT_number 187
_space_group_name_Hall 'P -6 2'
_cell_length_a 4.9654
_cell_length_b 4.9654
_cell_length_c 3.9199
_cell_angle_alpha 90.00
_cell_angle_beta 90.00
_cell_angle_gamma 120.00
loop_
_atom_site_label
_atom_site_fract_x
_atom_site_fract_y
_atom_site_fract_z
Ba1 0.0000 0.0000 0.0000
Li1 0.3333 0.6667 0.5000
Si1 0.6667 0.3333 0.5000
```

Principal peaks in the range 5° ≤ 2θ ≤ 70°, by intensity:
| d_spacing | 2θ (°) | intensity | h k l |
| --- | --- | --- | --- |
| 2.897 | 30.87 | 100 | 1 0 1 |
| 4.300 | 20.66 | 81 | 1 0 0 |
| 2.483 | 36.18 | 39 | 1 1 0 |
| 1.885 | 48.28 | 28 | 2 0 1 |
| 1.501 | 61.79 | 27 | 2 1 1 |
| 1.538 | 60.15 | 18 | 1 1 2 |
| 2.097 | 43.13 | 17 | 1 1 1 |
| 3.920 | 22.68 | 15 | 0 0 1 |
| 1.783 | 51.22 | 14 | 1 0 2 |
| 2.150 | 42.02 | 13 | 2 0 0 |



(3)
Calculated X-ray diffraction stick pattern of In5S5Cl for λ = 1.5418 Å (Cu Kα), from a structure optimized by DFT (GGA-PBE).
Intensities are scaled so that the largest is 100.

Structural model:
```
data_In5S5Cl
_chemical_formula_sum 'In10 S10 Cl2'
_space_group_name_H-M_alt 'P 1 21/m 1'
_space_group_IT_number 11
_space_group_name_Hall '-P 2yb'
_cell_length_a 9.0729
_cell_length_b 3.9797
_cell_length_c 15.3211
_cell_angle_alpha 90.00
_cell_angle_beta 93.97
_cell_angle_gamma 90.00
loop_
_atom_site_label
_atom_site_fract_x
_atom_site_fract_y
_atom_site_fract_z
In1 0.0444 0.2500 0.1435
In2 0.1342 0.2500 0.5634
In3 0.2368 0.7500 0.7913
In4 0.3425 0.7500 0.0537
In5 0.3790 0.2500 0.3433
S1 0.0336 0.2500 0.4000
S2 0.1667 0.2500 0.9991
S3 0.2090 0.7500 0.2016
S4 0.3179 0.2500 0.6992
S5 0.4661 0.7500 0.9008
Cl1 0.3274 0.7500 0.5055
```

Principal peaks in the range 5° ≤ 2θ ≤ 70°, by intensity:
| d_spacing | 2θ (°) | intensity | h k l |
| --- | --- | --- | --- |
| 4.314 | 20.59 | 100 | 1 0 3 |
| 1.989 | 45.61 | 95 | 0 2 0 |
| 2.741 | 32.67 | 84 | 2 1 2 |
| 2.424 | 37.08 | 73 | 0 1 5 |
| 2.631 | 34.08 | 67 | 2 1 -3 |
| 3.253 | 27.41 | 63 | 1 1 2 |
| 3.566 | 24.97 | 57 | 1 1 -1 |
| 2.405 | 37.40 | 56 | 3 1 0 |
| 3.023 | 29.55 | 56 | 2 0 -4 |
| 3.851 | 23.09 | 54 | 0 1 1 |



(4)
Calculated X-ray diffraction stick pattern of CuS for λ = 1.5418 Å (Cu Kα), from a structure optimized by DFT (GGA-PBE).
Intensities are scaled so that the largest is 100.

Structural model:
```
data_CuS
_chemical_formula_sum 'Cu2 S2'
_space_group_name_H-M_alt 'P 63/m m c'
_space_group_IT_number 194
_space_group_name_Hall '-P 6c 2c'
_cell_length_a 3.3432
_cell_length_b 3.3432
_cell_length_c 6.1798
_cell_angle_alpha 90.00
_cell_angle_beta 90.00
_cell_angle_gamma 120.00
loop_
_atom_site_label
_atom_site_fract_x
_atom_site_fract_y
_atom_site_fract_z
Cu1 0.3333 0.6667 0.2500
S1 0.0000 0.0000 0.0000
```

Principal peaks in the range 5° ≤ 2θ ≤ 70°, by intensity:
| d_spacing | 2θ (°) | intensity | h k l |
| --- | --- | --- | --- |
| 2.622 | 34.20 | 100 | 1 0 1 |
| 2.113 | 42.80 | 65 | 1 0 2 |
| 1.672 | 54.93 | 34 | 1 1 0 |
| 1.678 | 54.68 | 24 | 1 0 3 |
| 1.409 | 66.32 | 13 | 2 0 1 |
| 3.090 | 28.90 | 9 | 0 0 2 |
| 1.545 | 59.87 | 8 | 0 0 4 |
| 1.470 | 63.25 | 6 | 1 1 2 |